V2CoSnH: simulated powder X-ray diffraction pattern (copper Kα), based on a crystal structure in Alexandria, relaxed with PBE.
No peak broadening, texture or thermal motion is included.

Structural model:
Unit cell a=3.782 b=3.782 c=4.131 alpha=90.00 beta=90.00 gamma=90.00
Atoms (fractional coordinates):
V  0.000  0.500  0.000
V  0.500  0.000  0.000
Co  0.000  0.000  0.500
Sn  0.500  0.500  0.500
H  0.000  0.000  0.000

Most intense lines, 5° ≤ 2θ ≤ 70°, low angle first:
d = 4.131 Å, 2θ = 21.51°, intensity 10, (0 0 1)
d = 3.782 Å, 2θ = 23.52°, intensity 8, (1 0 0)
d = 2.789 Å, 2θ = 32.09°, intensity 8, (1 0 1)
d = 2.674 Å, 2θ = 33.51°, intensity 7, (1 1 0)
d = 2.245 Å, 2θ = 40.17°, intensity 100, (1 1 1)
d = 2.065 Å, 2θ = 43.84°, intensity 20, (0 0 2)
d = 1.891 Å, 2θ = 48.12°, intensity 30, (2 0 0)
d = 1.719 Å, 2θ = 53.28°, intensity 4, (2 0 1)
d = 1.635 Å, 2θ = 56.28°, intensity 4, (1 1 2)
d = 1.395 Å, 2θ = 67.11°, intensity 21, (2 0 2)